Structure and computed powder diffractogram of TmRh3 (a GGA-PBE-relaxed structure; Cu Ka).
Intensities are scaled so that the largest is 100.

Top 12 peaks for 10 to 80 degrees two-theta, most intense first:
| d (Å) | 2θ/deg | I_rel |
| --- | --- | --- |
| 2.215 | 40.73 | 100 |
| 2.130 | 42.44 | 41 |
| 2.247 | 40.13 | 34 |
| 2.546 | 35.25 | 26 |
| 1.200 | 79.93 | 18 |
| 1.291 | 73.32 | 18 |
| 1.420 | 65.77 | 16 |
| 1.685 | 54.46 | 14 |
| 1.225 | 78.01 | 14 |
| 2.419 | 37.17 | 12 |
| 1.273 | 74.51 | 11 |
| 1.246 | 76.44 | 10 |

```
TmRh3
1.0
2.995 0.000 0.000
0.000 8.988 0.000
0.000 0.000 4.838
Tm Rh
2 6
Direct
0.000 0.000 0.000
0.500 0.500 0.500
0.000 0.245 0.655
0.000 0.500 0.987
0.000 0.755 0.655
0.500 0.000 0.487
0.500 0.255 0.155
0.500 0.745 0.155
```